No. 1
# Sm3Y2
Simulated powder diffraction line list, Cu Kα X-rays. Input: a crystal structure in Alexandria, relaxed with PBE.

Cell and atoms:
```
data_Sm3Y2
_cell_length_a 9.2772
_cell_length_b 9.2772
_cell_length_c 9.2772
_cell_angle_alpha 138.09
_cell_angle_beta 58.88
_cell_angle_gamma 140.59
_space_group_name_H-M_alt 'P 1'
_space_group_IT_number 1
_space_group_name_Hall 'P 1'
loop_
_atom_site_label
_atom_site_type_symbol
_atom_site_fract_x
_atom_site_fract_y
_atom_site_fract_z
_atom_site_occupancy
Sm1 Sm 0.0946 0.6119 0.7065 1
Sm2 Sm 0.2500 0.2500 0.0000 1
Sm3 Sm 0.4054 0.1119 0.5174 1
Sm4 Sm 0.5946 0.8881 0.4826 1
Sm5 Sm 0.7500 0.7500 0.0000 1
Sm6 Sm 0.9054 0.3881 0.2935 1
Y1 Y 0.1923 0.1418 0.3341 1
Y2 Y 0.3077 0.6418 0.9495 1
Y3 Y 0.6923 0.3582 0.0505 1
Y4 Y 0.8077 0.8582 0.6659 1
```

Main lines, sorted by position (2θ = 10–80°):
2theta  Rel. int.
10.95  346
28.54  285
29.56  712
30.77  1000
31.01  915
32.12  673
34.85  259
35.85  231
36.32  321
58.55  282

---

No. 2
# Sm2Y6Zn
Simulated powder diffraction line list, Cu Kα X-rays. Input: a crystal structure in Alexandria, relaxed with PBE.

Cell and atoms:
```
data_Sm2Y6Zn
_cell_length_a 9.8442
_cell_length_b 10.2812
_cell_length_c 5.4308
_cell_angle_alpha 90.00
_cell_angle_beta 90.00
_cell_angle_gamma 90.00
_space_group_name_H-M_alt 'P 1'
_space_group_IT_number 1
_space_group_name_Hall 'P 1'
loop_
_atom_site_label
_atom_site_type_symbol
_atom_site_fract_x
_atom_site_fract_y
_atom_site_fract_z
_atom_site_occupancy
Sm1 Sm 0.1916 0.2448 0.0000 1
Sm2 Sm 0.3084 0.7448 0.5000 1
Sm3 Sm 0.6916 0.2552 0.5000 1
Sm4 Sm 0.8084 0.7552 0.0000 1
Y1 Y 0.0184 0.3127 0.5000 1
Y2 Y 0.1336 0.8955 0.0000 1
Y3 Y 0.1888 0.5694 0.0000 1
Y4 Y 0.3112 0.0694 0.5000 1
Y5 Y 0.3664 0.3955 0.5000 1
Y6 Y 0.4816 0.8127 0.0000 1
Y7 Y 0.5184 0.1873 0.0000 1
Y8 Y 0.6336 0.6045 0.5000 1
Y9 Y 0.6888 0.9306 0.5000 1
Y10 Y 0.8112 0.4306 0.0000 1
Y11 Y 0.8664 0.1045 0.0000 1
Y12 Y 0.9816 0.6873 0.5000 1
Zn1 Zn 0.0000 0.0000 0.5000 1
Zn2 Zn 0.5000 0.5000 0.0000 1
```

Main lines, sorted by position (2θ = 10–80°):
2theta  Rel. int.
30.85  176
31.85  1000
32.20  648
33.00  509
45.37  91
46.49  187
57.23  91
58.20  126
58.42  122
67.34  108

---

No. 3
# SmY2Zn2
Simulated powder diffraction line list, Cu Kα X-rays. Input: a crystal structure in Alexandria, relaxed with PBE.

Cell and atoms:
```
data_SmY2Zn2
_cell_length_a 3.6363
_cell_length_b 5.2205
_cell_length_c 13.4414
_cell_angle_alpha 90.00
_cell_angle_beta 97.78
_cell_angle_gamma 90.00
_space_group_name_H-M_alt 'P 1'
_space_group_IT_number 1
_space_group_name_Hall 'P 1'
loop_
_atom_site_label
_atom_site_type_symbol
_atom_site_fract_x
_atom_site_fract_y
_atom_site_fract_z
_atom_site_occupancy
Sm1 Sm 0.1440 0.2500 0.2858 1
Sm2 Sm 0.8560 0.7500 0.7142 1
Y1 Y 0.0467 0.7500 0.0929 1
Y2 Y 0.2318 0.7500 0.4642 1
Y3 Y 0.7682 0.2500 0.5358 1
Y4 Y 0.9533 0.2500 0.9071 1
Zn1 Zn 0.3599 0.2500 0.7201 1
Zn2 Zn 0.4527 0.7500 0.9052 1
Zn3 Zn 0.5473 0.2500 0.0948 1
Zn4 Zn 0.6401 0.7500 0.2799 1
```

Main lines, sorted by position (2θ = 10–80°):
2theta  Rel. int.
26.35  68
33.65  156
34.43  1000
48.85  107
50.18  73
60.69  78
61.60  140
61.78  52
62.23  74
72.64  63

---

No. 4
# Sm3Y4Zn
Simulated powder diffraction line list, Cu Kα X-rays. Input: a crystal structure in Alexandria, relaxed with PBE.

Cell and atoms:
```
data_Sm3Y4Zn
_cell_length_a 3.5877
_cell_length_b 3.5877
_cell_length_c 19.0154
_cell_angle_alpha 90.00
_cell_angle_beta 90.00
_cell_angle_gamma 90.00
_space_group_name_H-M_alt 'P 1'
_space_group_IT_number 1
_space_group_name_Hall 'P 1'
loop_
_atom_site_label
_atom_site_type_symbol
_atom_site_fract_x
_atom_site_fract_y
_atom_site_fract_z
_atom_site_occupancy
Sm1 Sm 0.0000 0.0000 0.0000 1
Sm2 Sm 0.0000 0.0000 0.2693 1
Sm3 Sm 0.0000 0.0000 0.7307 1
Y1 Y 0.5000 0.5000 0.1351 1
Y2 Y 0.5000 0.5000 0.4065 1
Y3 Y 0.5000 0.5000 0.5935 1
Y4 Y 0.5000 0.5000 0.8649 1
Zn1 Zn 0.0000 0.0000 0.5000 1
```

Main lines, sorted by position (2θ = 10–80°):
2theta  Rel. int.
28.59  183
31.23  1000
32.97  115
35.38  447
37.85  80
49.14  149
50.90  157
52.78  108
59.36  181
60.94  295